Calculated powder XRD pattern
Compound: Ac4Ag5Au3
Radiation: Cu Ka
Structure: a structure optimized by DFT (PBE)
Neutral-atom scattering factors, no anomalous dispersion.

Largest 10 diffraction maxima, most intense first, 2θ from 10° to 90°:
24.2°, d 3.670, rel. 100
26.7°, d 3.334, rel. 98
32.2°, d 2.777, rel. 97
35.6°, d 2.521, rel. 85
33.5°, d 2.672, rel. 77
49.7°, d 1.834, rel. 60
32.4°, d 2.765, rel. 55
39.5°, d 2.281, rel. 47
54.2°, d 1.692, rel. 40
33.0°, d 2.713, rel. 34

Atomic structure:
```
data_Ac4Ag5Au3
_cell_length_a 8.4378
_cell_length_b 8.4378
_cell_length_c 10.7785
_cell_angle_alpha 122.37
_cell_angle_beta 122.37
_cell_angle_gamma 34.77
_space_group_name_H-M_alt 'P 1'
_space_group_IT_number 1
_space_group_name_Hall 'P 1'
loop_
_atom_site_label
_atom_site_fract_x
_atom_site_fract_y
_atom_site_fract_z
Ac1 0.0326 0.0326 0.3145
Ac2 0.2581 0.2581 0.7840
Ac3 0.7419 0.7419 0.2160
Ac4 0.9674 0.9674 0.6855
Ag1 0.2796 0.2796 0.4918
Ag2 0.4017 0.4017 0.3964
Ag3 0.5000 0.5000 0.0000
Ag4 0.5983 0.5983 0.6036
Ag5 0.7204 0.7204 0.5082
Au1 0.0000 0.0000 0.0000
Au2 0.3784 0.3784 0.1280
Au3 0.6216 0.6216 0.8720
```